# BaCaTbFeO6
Simulated PXRD pattern, Cu Kα, 1.54184 Å. Input: a DFT-relaxed cell (PBE+U, Alexandria).

Principal peaks in the range 2θ = 10–80°, by intensity:
2θ/deg	I (rel.)
30.84	100
54.84	39
44.17	33
18.74	25
64.25	19
36.33	18
72.95	17
48.38	10
21.67	6
58.48	6
67.57	6
76.11	2

Structural model:
```
data_BaCaTbFeO6
_space_group_name_H-M_alt 'P 1'
_space_group_IT_number 1
_cell_length_a 5.7992
_cell_length_b 5.7992
_cell_length_c 5.7992
_cell_angle_alpha 60.00
_cell_angle_beta 60.00
_cell_angle_gamma 60.00
loop_
_space_group_symop_operation_xyz
'x,y,z'
loop_
_atom_site_label
_atom_site_type_symbol
_atom_site_fract_x
_atom_site_fract_y
_atom_site_fract_z
_atom_site_occupancy
Ba1 Ba 0.0000 0.0000 0.0000 1
Ca1 Ca 0.5000 0.5000 0.5000 1
Tb1 Tb 0.7500 0.7500 0.7500 1
Fe1 Fe 0.2500 0.2500 0.2500 1
O1 O 0.0195 0.0195 0.4805 1
O2 O 0.0195 0.4805 0.0195 1
O3 O 0.0195 0.4805 0.4805 1
O4 O 0.4805 0.0195 0.0195 1
O5 O 0.4805 0.0195 0.4805 1
O6 O 0.4805 0.4805 0.0195 1
```